Record 1
Zr2TiTe6: simulated PXRD pattern (a wavelength of 1.5418 Å), based on the GGA-PBE geometry in Alexandria.
Lines closer than 0.1° are merged.

```
data_Zr2TiTe6
_cell_length_a 15.464
_cell_length_b 3.895
_cell_length_c 9.656
_cell_angle_alpha 90.00
_cell_angle_beta 109.55
_cell_angle_gamma 90.00
_symmetry_space_group_name_H-M 'C 1 2/m 1'
_symmetry_Int_Tables_number 12
_symmetry_space_group_name_Hall '-C 2y'
loop_
_atom_site_label
_atom_site_fract_x
_atom_site_fract_y
_atom_site_fract_z
_atom_site_occupancy
Zr1 0.166 0.000 0.331 1
Ti1 0.000 0.500 0.000 1
Te1 0.021 0.500 0.300 1
Te2 0.134 0.000 0.019 1
Te3 0.190 0.000 0.645 1
```

Most intense lines, 5° ≤ 2θ ≤ 70°, low angle first:
d_spacing	2θ/deg	Rel. int.	(hkl)
6.930	12.77	17.4	2 0 -1
3.465	25.71	20.4	4 0 -2
3.039	29.39	100.0	3 1 0
3.033	29.45	62.9	0 0 3
2.429	37.01	13.1	6 0 0
2.422	37.12	18.1	5 1 -1
2.414	37.25	35.6	3 1 -3
1.952	46.52	29.6	3 1 3
1.947	46.64	15.1	0 2 0
1.903	47.78	22.6	5 1 -4
1.697	54.03	10.4	4 2 -2
1.639	56.11	18.6	0 2 3

=====

Record 2
Tl5Te: simulated PXRD pattern (a wavelength of 1.5418 Å), based on the GGA-PBE geometry in Alexandria.
Lines closer than 0.1° are merged.

```
data_Tl5Te
_cell_length_a 12.240
_cell_length_b 4.540
_cell_length_c 7.271
_cell_angle_alpha 90.00
_cell_angle_beta 107.90
_cell_angle_gamma 90.00
_symmetry_space_group_name_H-M 'C 1 2/m 1'
_symmetry_Int_Tables_number 12
_symmetry_space_group_name_Hall '-C 2y'
loop_
_atom_site_label
_atom_site_fract_x
_atom_site_fract_y
_atom_site_fract_z
_atom_site_occupancy
Tl1 0.000 0.000 0.000 1
Tl2 0.161 0.500 0.822 1
Tl3 0.164 0.500 0.338 1
Te1 0.000 0.000 0.500 1
```

Most intense lines, 5° ≤ 2θ ≤ 70°, low angle first:
d_spacing	2θ/deg	Rel. int.	(hkl)
2.951	30.29	100.0	3 1 0
2.838	31.53	90.2	1 1 -2
2.668	33.59	38.2	4 0 -2
2.639	33.97	36.7	2 0 2
2.270	39.71	24.5	0 2 0
1.941	46.80	15.1	6 0 0
1.729	52.96	21.4	4 2 -2
1.721	53.22	20.9	2 2 2
1.609	57.28	16.8	7 1 -2
1.596	57.77	16.0	5 1 2
1.553	59.52	15.0	5 1 -4
1.542	60.00	14.3	1 1 4

=====

Record 3
Tl5Te4: simulated PXRD pattern (a wavelength of 1.5418 Å), based on the GGA-PBE geometry in Alexandria.
Lines closer than 0.1° are merged.

```
data_Tl5Te4
_cell_length_a 10.311
_cell_length_b 10.311
_cell_length_c 5.898
_cell_angle_alpha 90.00
_cell_angle_beta 90.00
_cell_angle_gamma 90.00
_symmetry_space_group_name_H-M 'I 4/m m m'
_symmetry_Int_Tables_number 139
_symmetry_space_group_name_Hall '-I 4 2'
loop_
_atom_site_label
_atom_site_fract_x
_atom_site_fract_y
_atom_site_fract_z
_atom_site_occupancy
Tl1 0.000 0.000 0.000 1
Tl2 0.179 0.179 0.500 1
Te1 0.000 0.291 0.000 1
```

Most intense lines, 5° ≤ 2θ ≤ 70°, low angle first:
d_spacing	2θ/deg	Rel. int.	(hkl)
7.291	12.14	10.2	1 1 0
5.156	17.20	6.8	2 0 0
2.970	30.09	100.0	3 0 1
2.949	30.31	28.0	0 0 2
2.575	34.85	10.3	4 0 0
2.430	36.99	25.2	3 3 0
2.303	39.11	7.2	4 1 1
1.876	48.54	23.5	3 3 2
1.719	53.31	7.1	6 0 0
1.707	53.71	20.0	3 0 3
1.487	62.43	14.9	6 3 1
1.485	62.56	8.8	6 0 2

=====

Record 4
Tl5Te4: simulated PXRD pattern (a wavelength of 1.5418 Å), based on the GGA-PBE geometry in Alexandria.
Lines closer than 0.1° are merged.

```
data_Tl5Te4
_cell_length_a 12.439
_cell_length_b 11.775
_cell_length_c 4.412
_cell_angle_alpha 90.00
_cell_angle_beta 105.43
_cell_angle_gamma 90.00
_symmetry_space_group_name_H-M 'C 1 2/m 1'
_symmetry_Int_Tables_number 12
_symmetry_space_group_name_Hall '-C 2y'
loop_
_atom_site_label
_atom_site_fract_x
_atom_site_fract_y
_atom_site_fract_z
_atom_site_occupancy
Tl1 0.000 0.000 0.000 1
Tl2 0.000 0.340 0.000 1
Tl3 0.217 0.500 0.779 1
Te1 0.151 0.191 0.566 1
```

Most intense lines, 5° ≤ 2θ ≤ 70°, low angle first:
d_spacing	2θ/deg	Rel. int.	(hkl)
3.538	25.17	18.1	1 1 1
3.447	25.84	16.3	0 2 1
3.101	28.79	33.8	2 0 1
2.927	30.54	100.0	1 3 -1
2.830	31.61	50.8	4 0 -1
2.800	31.96	77.1	3 3 0
2.671	33.55	14.9	4 2 0
2.197	41.09	15.5	2 0 -2
1.962	46.26	14.7	0 6 0
1.677	54.74	18.5	5 3 -2
1.613	57.11	14.2	4 6 -1
1.606	57.38	16.1	7 3 -1

=====

Record 5
Tl5Te3: simulated PXRD pattern (a wavelength of 1.5418 Å), based on the GGA-PBE geometry in Alexandria.
Lines closer than 0.1° are merged.

```
data_Tl5Te3
_cell_length_a 9.193
_cell_length_b 9.193
_cell_length_c 13.304
_cell_angle_alpha 90.00
_cell_angle_beta 90.00
_cell_angle_gamma 90.00
_symmetry_space_group_name_H-M 'I -4'
_symmetry_Int_Tables_number 82
_symmetry_space_group_name_Hall 'I -4'
loop_
_atom_site_label
_atom_site_fract_x
_atom_site_fract_y
_atom_site_fract_z
_atom_site_occupancy
Tl1 0.000 0.000 0.241 1
Tl2 0.104 0.681 0.366 1
Tl3 0.137 0.701 0.641 1
Te1 0.000 0.000 0.000 1
Te2 0.000 0.000 0.500 1
Te3 0.107 0.685 0.978 1
```

Most intense lines, 5° ≤ 2θ ≤ 70°, low angle first:
d_spacing	2θ/deg	Rel. int.	(hkl)
3.928	22.64	17.2	1 2 1
3.015	29.63	100.0	1 2 3
2.961	30.18	23.0	1 1 4
2.907	30.76	85.0	3 1 0
2.695	33.25	22.0	2 0 4
2.234	40.38	10.9	1 2 5
2.056	44.05	27.7	2 4 0
1.891	48.12	8.5	4 0 4
1.816	50.25	9.9	3 3 4
1.725	53.08	8.8	1 2 7
1.698	53.99	25.6	5 0 3
1.444	64.56	13.0	3 1 8

=====

Record 6
Tl2Te5: simulated PXRD pattern (a wavelength of 1.5418 Å), based on the GGA-PBE geometry in Alexandria.
Lines closer than 0.1° are merged.

```
data_Tl2Te5
_cell_length_a 11.293
_cell_length_b 8.918
_cell_length_c 5.664
_cell_angle_alpha 90.00
_cell_angle_beta 116.49
_cell_angle_gamma 90.00
_symmetry_space_group_name_H-M 'C 1 2/m 1'
_symmetry_Int_Tables_number 12
_symmetry_space_group_name_Hall '-C 2y'
loop_
_atom_site_label
_atom_site_fract_x
_atom_site_fract_y
_atom_site_fract_z
_atom_site_occupancy
Tl1 0.194 0.000 0.355 1
Te1 0.000 0.500 0.000 1
Te2 0.100 0.251 0.770 1
```

Most intense lines, 5° ≤ 2θ ≤ 70°, low angle first:
d_spacing	2θ/deg	Rel. int.	(hkl)
3.565	24.98	34.1	1 1 1
3.345	26.65	16.0	2 2 0
3.270	27.28	100.0	2 2 -1
3.152	28.32	21.5	3 1 0
2.976	30.03	14.8	2 0 1
2.820	31.73	14.9	4 0 -1
2.643	33.92	16.3	1 1 -2
2.404	37.40	15.4	4 0 -2
2.362	38.10	11.0	1 3 1
2.229	40.46	27.9	0 4 0
2.201	41.02	21.7	4 2 0
1.420	65.76	10.0	2 6 -1

=====

> Which formula does entry 1 have?

Zr2TiTe6